Simulated powder XRD pattern
Compound: Cd4Pd6F19
Radiation: Cu Ka
Structure: DFT lattice parameters and positions (PBE)
Lines closer than 0.1° are merged.

Largest 10 diffraction maxima, by angle, 15° ≤ 2θ ≤ 90°:
| (hkl) | two_theta | I (rel.) |
| --- | --- | --- |
| 2 0 0 | 18.66 | 22 |
| 2 1 1 | 22.91 | 64 |
| 3 0 1 | 29.71 | 100 |
| 2 2 2 | 32.62 | 29 |
| 3 1 2 | 35.32 | 56 |
| 4 2 2 | 46.80 | 20 |
| 4 3 1 | 48.84 | 79 |
| 5 2 1 | 52.72 | 25 |
| 6 0 0 | 58.21 | 26 |
| 7 4 3 | 88.44 | 26 |

Structural model:
Unit cell a=9.509 b=9.509 c=9.509 alpha=90.00 beta=90.00 gamma=90.00
Space group I23 (No. 197)
Unique sites:
Cd1 0.142 0.142 0.142 x8
Pd1 0.000 0.153 0.500 x12
F1 0.000 0.000 0.000 x2
F2 0.000 0.000 0.296 x12
F3 0.066 0.283 0.323 x24

=====

Simulated powder XRD pattern
Compound: CdPd2F6
Radiation: Cu Ka
Structure: DFT lattice parameters and positions (PBE)
Lines closer than 0.1° are merged.

Largest 10 diffraction maxima, by angle, 15° ≤ 2θ ≤ 90°:
| (hkl) | two_theta | I (rel.) |
| --- | --- | --- |
| 0 1 -1 | 15.92 | 69 |
| 0 2 -1 | 25.44 | 77 |
| 0 2 0 | 25.70 | 52 |
| 0 0 2 | 27.95 | 100 |
| 2 0 0 | 31.11 | 77 |
| 2 0 -2 | 31.88 | 85 |
| 0 2 -2 | 32.16 | 47 |
| 2 -2 0 | 38.12 | 43 |
| 2 2 -1 | 38.33 | 60 |
| -2 2 1 | 38.63 | 50 |

Structural model:
Unit cell a=6.346 b=7.243 c=7.306 alpha=105.31 beta=114.09 gamma=90.06
Space group P-1 (No. 2)
Unique sites:
Cd1 0.218 0.347 0.434 x2
Pd1 0.250 0.999 0.005 x2
Pd2 0.253 0.502 0.004 x2
F1 0.087 0.875 0.697 x2
F2 0.088 0.463 0.690 x2
F3 0.098 0.245 0.977 x2
F4 0.403 0.123 0.312 x2
F5 0.407 0.540 0.315 x2
F6 0.411 0.762 0.046 x2

=====

Simulated powder XRD pattern
Compound: PmCd2F6
Radiation: Cu Ka
Structure: DFT lattice parameters and positions (PBE)
Lines closer than 0.1° are merged.

Largest 10 diffraction maxima, by angle, 15° ≤ 2θ ≤ 90°:
| (hkl) | two_theta | I (rel.) |
| --- | --- | --- |
| 2 0 -1 | 15.23 | 30 |
| 2 0 -2 | 22.28 | 69 |
| 1 1 0 | 24.07 | 100 |
| 2 0 1 | 28.33 | 49 |
| 4 0 -1 | 31.04 | 21 |
| 3 1 -1 | 31.90 | 45 |
| 1 1 -2 | 32.20 | 36 |
| 3 1 1 | 43.78 | 49 |
| 0 2 0 | 45.39 | 28 |
| 5 1 -3 | 46.84 | 51 |

Structural model:
Unit cell a=11.872 b=3.997 c=8.047 alpha=90.00 beta=124.90 gamma=90.00
Space group C2/m (No. 12)
Unique sites:
Pm1 0.000 0.000 0.000 x2
Cd1 0.158 0.000 0.597 x4
F1 0.042 0.000 0.753 x4
F2 0.129 0.500 0.078 x4
F3 0.224 0.000 0.347 x4

=====

Simulated powder XRD pattern
Compound: RbPrCdF6
Radiation: Cu Ka
Structure: DFT lattice parameters and positions (PBE)
Lines closer than 0.1° are merged.

Largest 10 diffraction maxima, by angle, 15° ≤ 2θ ≤ 90°:
| (hkl) | two_theta | I (rel.) |
| --- | --- | --- |
| 1 2 1 | 24.26 | 100 |
| 2 1 1 | 25.00 | 29 |
| 0 2 2 | 25.18 | 25 |
| 2 0 2 | 26.12 | 70 |
| 0 0 4 | 29.40 | 15 |
| 1 2 3 | 32.09 | 28 |
| 3 2 1 | 39.48 | 17 |
| 2 2 4 | 42.40 | 19 |
| 1 2 5 | 44.08 | 16 |
| 2 4 2 | 49.71 | 30 |

Structural model:
Unit cell a=8.247 b=8.699 c=12.151 alpha=90.00 beta=90.00 gamma=90.00
Space group Imma (No. 74)
Unique sites:
Rb1 0.000 0.250 0.025 x4
Pr1 0.000 0.000 0.500 x4
Cd1 0.250 0.250 0.750 x4
F1 0.000 0.250 0.429 x4
F2 0.000 0.250 0.806 x4
F3 0.213 0.072 0.612 x16

=====

Simulated powder XRD pattern
Compound: PuCd2F8
Radiation: Cu Ka
Structure: DFT lattice parameters and positions (PBE)
Lines closer than 0.1° are merged.

Largest 10 diffraction maxima, by angle, 15° ≤ 2θ ≤ 90°:
| (hkl) | two_theta | I (rel.) |
| --- | --- | --- |
| 1 0 1 | 17.99 | 81 |
| 1 1 2 | 28.06 | 100 |
| 1 0 3 | 29.30 | 20 |
| 2 0 0 | 32.44 | 15 |
| 2 1 1 | 37.34 | 21 |
| 2 1 3 | 44.27 | 17 |
| 2 2 0 | 46.53 | 21 |
| 2 0 4 | 46.69 | 43 |
| 3 1 2 | 55.22 | 30 |
| 1 1 6 | 55.51 | 15 |

Structural model:
Unit cell a=5.520 b=5.520 c=10.969 alpha=90.00 beta=90.00 gamma=90.00
Space group I4/mmm (No. 139)
Unique sites:
Pu1 0.000 0.000 0.000 x2
Cd1 0.000 0.500 0.250 x4
F1 0.231 0.231 0.127 x16

=====

Simulated powder XRD pattern
Compound: Rb2PuCdF6
Radiation: Cu Ka
Structure: DFT lattice parameters and positions (PBE)
Lines closer than 0.1° are merged.

Largest 10 diffraction maxima, by angle, 15° ≤ 2θ ≤ 90°:
| (hkl) | two_theta | I (rel.) |
| --- | --- | --- |
| 0 2 0 | 18.59 | 15 |
| 1 1 1 | 19.44 | 59 |
| 0 1 2 | 24.36 | 23 |
| 1 2 1 | 25.33 | 100 |
| 2 0 0 | 25.81 | 34 |
| 2 1 2 | 35.79 | 35 |
| 0 4 0 | 37.71 | 35 |
| 2 3 2 | 45.03 | 16 |
| 3 2 1 | 45.23 | 23 |
| 2 4 0 | 46.28 | 16 |

Structural model:
Unit cell a=6.903 b=9.544 c=7.910 alpha=90.00 beta=90.00 gamma=90.00
Space group Pmmn (No. 59, origin choice 2)
Unique sites:
Rb1 0.250 0.018 0.243 x4
Pu1 0.250 0.750 0.878 x2
Cd1 0.250 0.250 0.684 x2
F1 0.009 0.750 0.700 x4
F2 0.046 0.750 0.086 x4
F3 0.250 0.524 0.884 x4